No. 1
Theoretical XRD peak list of CaPbSe2 for CuKα, from a crystal structure in the Materials Project, relaxed with PBE.

```
4
Lattice="4.3199 0.0000 0.0000 0.0000 4.3199 0.0000 0.0000 0.0000 6.1284" Properties=species:S:1:pos:R:3 pbc="T T T"
Ca 0.0000 0.0000 0.0000
Pb 2.1600 2.1600 3.0642
Se 0.0000 0.0000 3.0642
Se 2.1600 2.1600 0.0000
```

The 10 most intense peaks (2θ from 10° to 80°), by angle:
- d = 6.128 Å, 2θ = 14.5°, I 25, hkl 0 0 1
- d = 4.320 Å, 2θ = 20.6°, I 24, hkl 1 0 0
- d = 3.058 Å, 2θ = 29.2°, I 100, hkl 1 1 0
- d = 2.734 Å, 2θ = 32.8°, I 16, hkl 1 1 1
- d = 2.499 Å, 2θ = 35.9°, I 12, hkl 1 0 2
- d = 2.162 Å, 2θ = 41.8°, I 76, hkl 2 0 0
- d = 1.765 Å, 2θ = 51.8°, I 27, hkl 2 0 2
- d = 1.370 Å, 2θ = 68.5°, I 12, hkl 1 1 4
- d = 1.367 Å, 2θ = 68.7°, I 23, hkl 3 1 0
- d = 1.248 Å, 2θ = 76.3°, I 17, hkl 3 1 2

***

No. 2
Theoretical XRD peak list of SrCaPb for CuKα, from a crystal structure in the Materials Project, relaxed with PBE.

```
12
Lattice="8.5321 0.0000 0.0000 0.0000 5.2343 0.0000 0.0000 0.0000 9.7910" Properties=species:S:1:pos:R:3 pbc="T T T"
Sr 0.1854 1.3086 1.7734
Sr 4.0807 3.9257 6.6689
Sr 4.4514 1.3086 3.1221
Sr 8.3468 3.9257 8.0176
Ca 1.2698 1.3086 5.5730
Ca 2.9962 3.9257 0.6775
Ca 5.5359 1.3086 9.1135
Ca 7.2623 3.9257 4.2180
Pb 2.0256 3.9257 3.8069
Pb 2.2405 1.3086 8.7024
Pb 6.2916 3.9257 1.0886
Pb 6.5066 1.3086 5.9841
```

The 10 most intense peaks (2θ from 10° to 80°), by angle:
- d = 4.251 Å, 2θ = 20.9°, I 81, hkl 1 0 2
- d = 4.060 Å, 2θ = 21.9°, I 69, hkl 1 1 1
- d = 3.298 Å, 2θ = 27.0°, I 28, hkl 1 1 2
- d = 3.133 Å, 2θ = 28.5°, I 100, hkl 2 1 1
- d = 2.769 Å, 2θ = 32.3°, I 47, hkl 0 1 3
- d = 2.617 Å, 2θ = 34.3°, I 39, hkl 0 2 0
- d = 2.459 Å, 2θ = 36.5°, I 32, hkl 3 0 2
- d = 2.323 Å, 2θ = 38.8°, I 27, hkl 2 1 3
- d = 2.229 Å, 2θ = 40.5°, I 32, hkl 1 2 2
- d = 1.792 Å, 2θ = 50.9°, I 37, hkl 3 2 2

***

No. 3
Theoretical XRD peak list of SrCaPb6 for CuKα, from a crystal structure in the Materials Project, relaxed with PBE.

```
8
Lattice="5.0729 0.0000 0.0000 0.0000 5.0729 0.0000 0.0000 0.0000 9.8483" Properties=species:S:1:pos:R:3 pbc="T T T"
Sr 0.0000 0.0000 0.0000
Ca 0.0000 0.0000 4.9241
Pb 0.0000 2.5365 2.5036
Pb 0.0000 2.5365 7.3446
Pb 2.5365 0.0000 2.5036
Pb 2.5365 0.0000 7.3446
Pb 2.5365 2.5365 0.0000
Pb 2.5365 2.5365 4.9241
```

The 10 most intense peaks (2θ from 10° to 80°), by angle:
- d = 5.073 Å, 2θ = 17.5°, I 8, hkl 1 0 0
- d = 3.533 Å, 2θ = 25.2°, I 7, hkl 1 0 2
- d = 2.899 Å, 2θ = 30.8°, I 100, hkl 1 1 2
- d = 2.536 Å, 2θ = 35.4°, I 35, hkl 2 0 0
- d = 2.462 Å, 2θ = 36.5°, I 16, hkl 0 0 4
- d = 1.794 Å, 2θ = 50.9°, I 13, hkl 2 2 0
- d = 1.767 Å, 2θ = 51.7°, I 24, hkl 2 0 4
- d = 1.525 Å, 2θ = 60.7°, I 30, hkl 3 1 2
- d = 1.493 Å, 2θ = 62.2°, I 14, hkl 1 1 6
- d = 1.450 Å, 2θ = 64.3°, I 13, hkl 2 2 4

***

No. 4
Theoretical XRD peak list of Ca2Tl3Pb3 for CuKα, from a crystal structure in the Materials Project, relaxed with PBE.

```
8
Lattice="4.8969 0.0000 0.0000 0.0000 4.9036 0.0000 0.0000 0.0000 9.8902" Properties=species:S:1:pos:R:3 pbc="T T T"
Ca 0.0000 0.0000 2.4649
Ca 0.0000 0.0000 7.4253
Tl 0.0000 2.4518 0.0000
Tl 0.0000 2.4518 4.9451
Tl 2.4485 0.0000 0.0000
Pb 2.4485 0.0000 4.9451
Pb 2.4485 2.4518 2.4506
Pb 2.4485 2.4518 7.4397
```

The 10 most intense peaks (2θ from 10° to 80°), by angle:
- d = 4.900 Å, 2θ = 18.1°, I 11, hkl 1 0 0
- d = 3.481 Å, 2θ = 25.6°, I 10, hkl 0 1 2
- d = 2.838 Å, 2θ = 31.5°, I 100, hkl 1 1 2
- d = 2.473 Å, 2θ = 36.3°, I 17, hkl 0 0 4
- d = 2.450 Å, 2θ = 36.7°, I 34, hkl 2 0 0
- d = 1.740 Å, 2θ = 52.6°, I 24, hkl 2 0 4
- d = 1.733 Å, 2θ = 52.8°, I 12, hkl 2 2 0
- d = 1.489 Å, 2θ = 62.4°, I 15, hkl 1 1 6
- d = 1.479 Å, 2θ = 62.8°, I 28, hkl 3 1 2
- d = 1.419 Å, 2θ = 65.8°, I 12, hkl 2 2 4